Record 1
The following is a computed XRD peak list of Sc2CdBr4. It was derived from the PBE geometry in OQMD, using CuKα.
Intensities are scaled so that the largest is 100.

The 6 most intense peaks (10 to 80 degrees two-theta), most intense first:
(0 1 4), 2θ 35.4, rel. 100
(0 1 2), 2θ 29.8, rel. 68
(1 0 6), 2θ 43.3, rel. 58
(1 1 0), 2θ 49.1, rel. 54
(0 1 1), 2θ 28.3, rel. 44
(1 0 0), 2θ 27.8, rel. 41

Structure:
Unit cell a=3.7100 b=3.7100 c=16.4953 alpha=90.00 beta=90.00 gamma=120.00
Space group P3m1 (No. 156)
One atom of each set of equivalent atoms:
1 Sc 0.0000 0.0000 0.0000 [1 per cell]
2 Sc 0.3333 0.6667 0.2781 [1 per cell]
3 Cd 0.6667 0.3333 0.5895 [1 per cell]
4 Br 0.0000 0.0000 0.1713 [1 per cell]
5 Br 0.0000 0.0000 0.7016 [1 per cell]
6 Br 0.6667 0.3333 0.3798 [1 per cell]
7 Br 0.6667 0.3333 0.8991 [1 per cell]



Record 2
The following is a computed XRD peak list of SmCoSi2Ir. It was derived from the PBE geometry in OQMD, using CuKα.
Intensities are scaled so that the largest is 100.

The 6 most intense peaks (10 to 80 degrees two-theta), most intense first:
(1 1 2), 2θ 36.4, rel. 100
(1 0 1), 2θ 23.9, rel. 49
(1 0 3), 2θ 34.9, rel. 36
(2 0 0), 2θ 45.3, rel. 35
(3 1 2), 2θ 77.7, rel. 22
(0 0 4), 2θ 35.7, rel. 19

Structure:
Unit cell a=4.006 b=4.006 c=10.061 alpha=90.00 beta=90.00 gamma=90.00
Space group I-4m2 (No. 119)
One atom of each set of equivalent atoms:
1 Sm 0.000 0.000 0.000 [2 per cell]
2 Co 0.000 0.500 0.250 [2 per cell]
3 Si 0.000 0.000 0.376 [4 per cell]
4 Ir 0.000 0.500 0.750 [2 per cell]



Record 3
The following is a computed XRD peak list of NdCuPdPt3. It was derived from the PBE geometry in OQMD, using CuKα.
Intensities are scaled so that the largest is 100.

The 6 most intense peaks (10 to 80 degrees two-theta), most intense first:
(1 1 1), 2θ 39.4, rel. 100
(2 0 0), 2θ 38.7, rel. 80
(2 0 1), 2θ 44.1, rel. 75
(1 0 1), 2θ 28.1, rel. 58
(2 0 2), 2θ 58.1, rel. 50
(0 0 2), 2θ 41.6, rel. 44

Structure:
Unit cell a=5.3791 b=5.3791 c=4.3426 alpha=90.00 beta=90.00 gamma=120.00
Space group P-6m2 (No. 187)
One atom of each set of equivalent atoms:
1 Nd 0.0000 0.0000 0.0000 [1 per cell]
2 Cu 0.6667 0.3333 0.0000 [1 per cell]
3 Pd 0.3333 0.6667 0.0000 [1 per cell]
4 Pt 0.5020 0.0039 0.5000 [3 per cell]